For Ac3Pb2, a structure optimized by DFT (GGA-PBE) gives the calculated powder diffractogram in this record (Cu Kα (weighted mean of Kα1 and Kα2)).
Neutral-atom scattering factors, no anomalous dispersion.

Peak list (6 most intense, 10 to 90 degrees two-theta, sorted by position)
27.44 deg, I = 100.0; 30.75 deg, I = 87.8; 31.73 deg, I = 23.9; 35.01 deg, I = 34.4; 54.45 deg, I = 37.5; 58.26 deg, I = 33.9

Cell and atoms:
a b c (Å): 6.8126 6.8126 6.8126
angles (deg): 135.80 112.88 83.94
Element x y z (fractional)
Ac1 0.0000 0.0000 0.0000
Ac2 0.3020 0.8020 0.5000
Ac3 0.6980 0.1980 0.5000
Pb1 0.2888 0.5000 0.7888
Pb2 0.7112 0.5000 0.2112

***

For Pr2Dy12Y, a structure optimized by DFT (GGA-PBE) gives the calculated powder diffractogram in this record (Cu Kα (weighted mean of Kα1 and Kα2)).
Neutral-atom scattering factors, no anomalous dispersion.

Peak list (6 most intense, 10 to 90 degrees two-theta, sorted by position)
29.70 deg, I = 55.2; 30.64 deg, I = 100.0; 31.59 deg, I = 86.3; 32.89 deg, I = 64.9; 33.15 deg, I = 48.3; 36.99 deg, I = 55.7

Cell and atoms:
a b c (Å): 6.6787 6.6787 24.8487
angles (deg): 90.00 90.00 116.00
Element x y z (fractional)
Pr1 0.2500 0.7500 0.2345
Pr2 0.2500 0.7500 0.7707
Pr3 0.7500 0.2500 0.2293
Pr4 0.7500 0.2500 0.7655
Dy1 0.0003 0.9997 0.4219
Dy2 0.9997 0.0003 0.5781
Dy3 0.0006 0.5006 0.6259
Dy4 0.0113 0.5113 0.0838
Dy5 0.0134 0.9866 0.9388
Dy6 0.2500 0.2500 0.1721
Dy7 0.2500 0.2500 0.3013
Dy8 0.2500 0.2500 0.6987
Dy9 0.2500 0.2500 0.8279
Dy10 0.4866 0.5134 0.9388
Dy11 0.4887 0.9887 0.0838
Dy12 0.4994 0.9994 0.6259
Dy13 0.4997 0.5003 0.4219
Dy14 0.5003 0.4997 0.5781
Dy15 0.5006 0.0006 0.3741
Dy16 0.5113 0.0113 0.9162
Dy17 0.5134 0.4866 0.0612
Dy18 0.7500 0.7500 0.1721
Dy19 0.7500 0.7500 0.3013
Dy20 0.7500 0.7500 0.6987
Dy21 0.7500 0.7500 0.8279
Dy22 0.9866 0.0134 0.0612
Dy23 0.9887 0.4887 0.9162
Dy24 0.9994 0.4994 0.3741
Y1 0.2500 0.7500 0.5000
Y2 0.7500 0.2500 0.5000

***

For Cd12Pd5Au2, a structure optimized by DFT (GGA-PBE) gives the calculated powder diffractogram in this record (Cu Kα (weighted mean of Kα1 and Kα2)).
Neutral-atom scattering factors, no anomalous dispersion.

Peak list (6 most intense, 10 to 90 degrees two-theta, sorted by position)
28.55 deg, I = 19.1; 36.26 deg, I = 96.2; 37.79 deg, I = 100.0; 42.05 deg, I = 29.8; 42.43 deg, I = 29.3; 44.55 deg, I = 26.0

Cell and atoms:
a b c (Å): 7.7764 7.7764 6.9273
angles (deg): 92.17 92.17 63.08
Element x y z (fractional)
Cd1 0.0586 0.0586 0.2730
Cd2 0.1089 0.5185 0.7859
Cd3 0.1087 0.6747 0.3882
Cd4 0.3253 0.8913 0.6118
Cd5 0.3725 0.3725 0.1307
Cd6 0.4815 0.8911 0.2141
Cd7 0.5185 0.1089 0.7859
Cd8 0.6275 0.6275 0.8693
Cd9 0.6747 0.1087 0.3882
Cd10 0.8913 0.3253 0.6118
Cd11 0.8911 0.4815 0.2141
Cd12 0.9414 0.9414 0.7270
Pd1 0.1637 0.1637 0.9325
Pd2 0.2597 0.2597 0.4605
Pd3 0.5000 0.5000 0.5000
Pd4 0.7403 0.7403 0.5395
Pd5 0.8363 0.8363 0.0675
Au1 0.2466 0.7534 0.0000
Au2 0.7534 0.2466 0.0000

***

For Tb2Ga3Co5C2, a structure optimized by DFT (GGA-PBE) gives the calculated powder diffractogram in this record (Cu Kα (weighted mean of Kα1 and Kα2)).
Neutral-atom scattering factors, no anomalous dispersion.

Peak list (6 most intense, 10 to 90 degrees two-theta, sorted by position)
30.75 deg, I = 43.4; 32.84 deg, I = 34.1; 33.85 deg, I = 37.2; 36.75 deg, I = 73.3; 41.16 deg, I = 100.0; 47.12 deg, I = 66.9

Cell and atoms:
a b c (Å): 11.3969 11.3969 11.3969
angles (deg): 160.51 160.51 27.69
Element x y z (fractional)
Tb1 0.1978 0.1978 0.0000
Tb2 0.8022 0.8022 0.0000
Ga1 0.3473 0.3473 0.0000
Ga2 0.5000 0.5000 0.0000
Ga3 0.6527 0.6527 0.0000
Co1 0.0000 0.0000 0.0000
Co2 0.0809 0.5809 0.5000
Co3 0.4191 0.9191 0.5000
Co4 0.5809 0.0809 0.5000
Co5 0.9191 0.4191 0.5000
C1 0.0852 0.0852 0.0000
C2 0.9148 0.9148 0.0000

***

For Pm3WC4, a structure optimized by DFT (GGA-PBE) gives the calculated powder diffractogram in this record (Cu Kα (weighted mean of Kα1 and Kα2)).
Neutral-atom scattering factors, no anomalous dispersion.

Peak list (6 most intense, 10 to 90 degrees two-theta, sorted by position)
25.81 deg, I = 22.4; 30.49 deg, I = 100.0; 32.37 deg, I = 23.2; 45.37 deg, I = 18.0; 56.58 deg, I = 18.6; 56.84 deg, I = 17.4

Cell and atoms:
a b c (Å): 7.9623 6.9335 5.5307
angles (deg): 90.00 90.00 90.00
Element x y z (fractional)
Pm1 0.0000 0.1462 0.9997
Pm2 0.2472 0.3292 0.5000
Pm3 0.2528 0.6708 0.0000
Pm4 0.5000 0.8538 0.4997
Pm5 0.7472 0.6708 0.0000
Pm6 0.7528 0.3292 0.5000
W1 0.0000 0.8236 0.4737
W2 0.5000 0.1764 0.9737
C1 0.0000 0.1086 0.5430
C2 0.0000 0.8194 0.1249
C3 0.2186 0.6875 0.5458
C4 0.2814 0.3125 0.0458
C5 0.5000 0.1806 0.6249
C6 0.5000 0.8914 0.0430
C7 0.7186 0.3125 0.0458
C8 0.7814 0.6875 0.5458

***

For VPbAu, a structure optimized by DFT (GGA-PBE) gives the calculated powder diffractogram in this record (Cu Kα (weighted mean of Kα1 and Kα2)).
Neutral-atom scattering factors, no anomalous dispersion.

Peak list (6 most intense, 10 to 90 degrees two-theta, sorted by position)
27.71 deg, I = 100.0; 28.21 deg, I = 32.1; 39.59 deg, I = 65.7; 39.95 deg, I = 94.5; 49.31 deg, I = 29.3; 72.07 deg, I = 33.6

Cell and atoms:
a b c (Å): 3.2196 3.2196 12.6549
angles (deg): 90.00 90.00 90.00
Element x y z (fractional)
V1 0.0000 0.0000 0.1238
V2 0.0000 0.0000 0.8762
Pb1 0.5000 0.5000 0.2823
Pb2 0.5000 0.5000 0.7177
Au1 0.5000 0.5000 0.0000
Au2 0.5000 0.5000 0.5000